Computed powder X-ray diffraction pattern
Compound: Ba3NiAu2O6
Radiation: copper Kα
Structure: a structure optimized by DFT (PBE+U)
No peak broadening, texture or thermal motion is included.

Top 10 peaks for 2θ = 5–70°, by intensity:
- hkl 1 1 0, 2θ = 29.97°, I = 100
- hkl 0 1 2, 2θ = 31.46°, I = 91
- hkl 2 0 2, 2θ = 44.00°, I = 49
- hkl 1 2 2, 2θ = 54.16°, I = 40
- hkl 3 0 0, 2θ = 53.22°, I = 20
- hkl 2 2 0, 2θ = 62.28°, I = 16
- hkl 1 0 4, 2θ = 56.92°, I = 13
- hkl 0 2 4, 2θ = 65.67°, I = 10
- hkl 0 1 1, 2θ = 21.59°, I = 10
- hkl 1 1 4, 2θ = 62.82°, I = 8

Crystal structure
abc: 5.9627 5.9627 6.8136
angles: 90.00 90.00 120.00
Space group P-3m1 (No. 164)
Unique sites:
Ba1 0.0000 0.0000 0.0000 [1 per cell]
Ba2 0.3333 0.6667 0.6336 [2 per cell]
Ni1 0.0000 0.0000 0.5000 [1 per cell]
Au1 0.3333 0.6667 0.1416 [2 per cell]
O1 0.1595 0.3190 0.3223 [6 per cell]